Record 1
Diffraction record for ScZn2Ag2. The powder XRD pattern is theoretical, not measured: it uses a structure optimized by DFT (PBE) and λ = 1.5418 Å (Cu Kα).
Neutral-atom scattering factors, no anomalous dispersion.

Cell and atoms:
```
data_ScZn2Ag2
_chemical_formula_sum 'Sc1 Zn2 Ag2'
_space_group_name_H-M_alt 'P 1'
_space_group_IT_number 1
_cell_length_a 4.6201
_cell_length_b 4.6349
_cell_length_c 5.3168
_cell_angle_alpha 65.20
_cell_angle_beta 64.77
_cell_angle_gamma 60.22
loop_
_space_group_symop_operation_xyz
'x,y,z'
loop_
_atom_site_label
_atom_site_type_symbol
_atom_site_fract_x
_atom_site_fract_y
_atom_site_fract_z
Sc1 Sc 0.0000 0.0000 0.0000
Zn1 Zn 0.2120 0.2121 0.3700
Zn2 Zn 0.3961 0.3948 0.8088
Ag1 Ag 0.5825 0.5839 0.2573
Ag2 Ag 0.7879 0.7872 0.6354
```

Principal peaks in the range 2θ from 10° to 80°, sorted by position:
2θ 38.83, I 100, hkl 1 2 1
2θ 38.99, I 47, hkl 2 1 1
2θ 39.15, I 42, hkl 1 1 -1
2θ 39.42, I 41, hkl 1 0 2
2θ 39.65, I 40, hkl 0 1 2
2θ 56.01, I 16, hkl 0 2 -1
2θ 56.56, I 15, hkl 2 0 -1
2θ 70.21, I 14, hkl 0 3 1
2θ 70.47, I 14, hkl 3 0 1
2θ 70.57, I 14, hkl 3 3 2

Record 2
Diffraction record for Pu3PbO9. The powder XRD pattern is theoretical, not measured: it uses a structure optimized by DFT (PBE) and λ = 1.5418 Å (Cu Kα).
Neutral-atom scattering factors, no anomalous dispersion.

Cell and atoms:
```
data_Pu3PbO9
_chemical_formula_sum 'Pu3 Pb1 O9'
_space_group_name_H-M_alt 'P 6/m m m'
_space_group_IT_number 191
_space_group_name_Hall '-P 6 2'
_cell_length_a 7.9487
_cell_length_b 7.9487
_cell_length_c 4.1130
_cell_angle_alpha 90.00
_cell_angle_beta 90.00
_cell_angle_gamma 120.00
loop_
_atom_site_label
_atom_site_type_symbol
_atom_site_fract_x
_atom_site_fract_y
_atom_site_fract_z
Pu1 Pu 0.0000 0.5000 0.0000
Pb1 Pb 0.0000 0.0000 0.5000
O1 O 0.0000 0.5000 0.5000
O2 O 0.2008 0.4016 0.0000
```

Principal peaks in the range 2θ from 10° to 80°, sorted by position:
2θ 21.61, I 19, hkl 0 0 1
2θ 25.22, I 47, hkl 1 0 1
2θ 25.89, I 100, hkl 2 0 0
2θ 31.30, I 29, hkl 1 1 1
2θ 33.96, I 19, hkl 2 0 1
2θ 41.05, I 20, hkl 2 1 1
2θ 45.65, I 27, hkl 2 2 0
2θ 51.79, I 31, hkl 2 0 2
2θ 53.23, I 16, hkl 4 0 0
2θ 65.30, I 18, hkl 2 2 2

Record 3
Diffraction record for TaMo7. The powder XRD pattern is theoretical, not measured: it uses a structure optimized by DFT (PBE) and λ = 1.5418 Å (Cu Kα).
Neutral-atom scattering factors, no anomalous dispersion.

Cell and atoms:
```
data_TaMo7
_chemical_formula_sum 'Ta2 Mo14'
_space_group_name_H-M_alt 'C 1 2/m 1'
_space_group_IT_number 12
_cell_length_a 5.5034
_cell_length_b 8.9808
_cell_length_c 5.2845
_cell_angle_alpha 90.00
_cell_angle_beta 99.86
_cell_angle_gamma 90.00
loop_
_space_group_symop_operation_xyz
'x,y,z'
'-x,-y,-z'
'-x,y,-z'
'x,-y,z'
'x+1/2,y+1/2,z'
'-x+1/2,-y+1/2,-z'
'-x+1/2,y+1/2,-z'
'x+1/2,-y+1/2,z'
loop_
_atom_site_label
_atom_site_type_symbol
_atom_site_fract_x
_atom_site_fract_y
_atom_site_fract_z
Ta1 Ta 0.0000 0.0000 0.0000
Mo1 Mo 0.0000 0.5000 0.0000
Mo2 Mo 0.1264 0.2520 0.7491
Mo3 Mo 0.2493 0.0000 0.5022
```

Principal peaks in the range 2θ from 10° to 80°, sorted by position:
2θ 17.03, I 2, hkl 0 0 1
2θ 19.12, I 3, hkl 1 1 0
2θ 19.77, I 2, hkl 0 2 0
2θ 23.74, I 2, hkl 1 1 -1
2θ 26.21, I 2, hkl 0 2 1
2θ 40.04, I 100, hkl 2 0 1
2θ 40.16, I 99, hkl 0 4 0
2θ 58.00, I 33, hkl 2 4 1
2θ 72.65, I 17, hkl 2 2 3
2θ 72.92, I 50, hkl 4 2 0